Diffraction record for PtI4. The X-ray powder pattern is calculated, not measured: it uses the GGA-PBE geometry in OQMD and Cu Kα (λ = 1.5418 Å).
Peak positions follow from Bragg's law for the DFT cell and can differ from measured ones.

Structure:
Cell: 6.991 13.331 15.969 Å, 90.00 90.00 90.00°
Space group Pbca (No. 61)
Unique sites:
Pt 0.094 0.177 0.189 [8 per cell]
I 0.058 0.705 0.933 [8 per cell]
I 0.087 0.711 0.694 [8 per cell]
I 0.220 0.562 0.316 [8 per cell]
I 0.249 0.557 0.073 [8 per cell]

Largest 10 diffraction maxima, by angle, 2θ = 10–80°:
h k l	2theta	I_rel
0 0 2	11.08	35
0 2 0	13.28	21
0 2 1	14.40	49
1 1 2	18.13	28
2 2 0	28.84	38
1 2 4	29.06	100
2 3 1	33.09	32
1 3 5	36.97	21
3 0 4	45.05	38
0 0 8	45.43	21